Computed PXRD pattern
Compound: SmPuIn2Se4
Radiation: copper Kα
Structure: a cell relaxed with GGA-PBE
Neutral-atom scattering factors, no anomalous dispersion.

Largest 6 diffraction maxima, low angle first, 10 to 80 degrees two-theta:
2θ/deg, intensity
11.51, 16
28.89, 100
39.80, 38
42.79, 36
52.46, 19
69.93, 16

Cell and atoms:
a = 7.3206 Å, b = 4.2262 Å, c = 8.0675 Å
α = 90.00°, β = 107.60°, γ = 90.00°
Fractional coordinates of all 8 atoms:
1 Sm 0.0000 0.0000 0.0000
2 Pu 0.5000 0.5000 0.0000
3 In 0.0000 0.5000 0.5000
4 In 0.5000 0.0000 0.5000
5 Se 0.2387 0.5000 0.2132
6 Se 0.2666 0.0000 0.7906
7 Se 0.7334 0.0000 0.2094
8 Se 0.7613 0.5000 0.7868


Computed PXRD pattern
Compound: KTc2O4
Radiation: copper Kα
Structure: a cell relaxed with GGA-PBE
Neutral-atom scattering factors, no anomalous dispersion.

Largest 6 diffraction maxima, low angle first, 10 to 80 degrees two-theta:
2θ/deg, intensity
17.38, 100
27.12, 35
35.19, 23
37.24, 22
39.71, 27
41.66, 22

Cell and atoms:
a = 7.3199 Å, b = 5.5999 Å, c = 7.4082 Å
α = 66.82°, β = 44.69°, γ = 68.49°
Fractional coordinates of all 14 atoms:
1 K 0.0000 0.0000 0.0000
2 K 0.2500 0.2500 0.2500
3 Tc 0.2669 0.5954 0.5596
4 Tc 0.5954 0.2669 0.5781
5 Tc 0.6719 0.6904 0.6546
6 Tc 0.6904 0.6719 0.9831
7 O 0.3554 0.5837 0.7749
8 O 0.4751 0.9641 0.8946
9 O 0.5249 0.8301 0.2755
10 O 0.5837 0.3554 0.2859
11 O 0.8301 0.5249 0.3695
12 O 0.8805 0.9745 0.4199
13 O 0.9641 0.4751 0.6663
14 O 0.9745 0.8805 0.7251


Computed PXRD pattern
Compound: CsTl12Pb7
Radiation: copper Kα
Structure: a cell relaxed with GGA-PBE
Neutral-atom scattering factors, no anomalous dispersion.

Largest 6 diffraction maxima, low angle first, 10 to 80 degrees two-theta:
2θ/deg, intensity
26.77, 62
28.89, 44
31.89, 49
32.12, 100
32.63, 63
34.41, 58

Cell and atoms:
a = 10.0529 Å, b = 10.0529 Å, c = 10.0529 Å
α = 112.53°, β = 112.53°, γ = 112.53°
Fractional coordinates of all 20 atoms:
1 Cs 0.0000 0.0000 0.0000
2 Tl 0.0000 0.2664 0.7336
3 Tl 0.0000 0.7336 0.2664
4 Tl 0.0760 0.4115 0.4115
5 Tl 0.2664 0.0000 0.7336
6 Tl 0.2664 0.7336 0.0000
7 Tl 0.4115 0.0760 0.4115
8 Tl 0.4115 0.4115 0.0760
9 Tl 0.5885 0.5885 0.9240
10 Tl 0.5885 0.9240 0.5885
11 Tl 0.7336 0.0000 0.2664
12 Tl 0.7336 0.2664 0.0000
13 Tl 0.9240 0.5885 0.5885
14 Pb 0.1956 0.1956 0.5415
15 Pb 0.1956 0.5415 0.1956
16 Pb 0.4585 0.8044 0.8044
17 Pb 0.5000 0.5000 0.5000
18 Pb 0.5415 0.1956 0.1956
19 Pb 0.8044 0.4585 0.8044
20 Pb 0.8044 0.8044 0.4585


Computed PXRD pattern
Compound: Ge2S
Radiation: copper Kα
Structure: a cell relaxed with GGA-PBE
Neutral-atom scattering factors, no anomalous dispersion.

Largest 6 diffraction maxima, low angle first, 10 to 80 degrees two-theta:
2θ/deg, intensity
18.53, 100
24.90, 86
25.65, 83
35.30, 92
42.79, 52
48.53, 44

Cell and atoms:
a = 9.9265 Å, b = 4.0781 Å, c = 7.4149 Å
α = 90.00°, β = 105.31°, γ = 90.00°
Fractional coordinates of all 12 atoms:
1 Ge 0.2099 0.2371 0.3227
2 Ge 0.2099 0.7629 0.8227
3 Ge 0.2901 0.2629 0.6773
4 Ge 0.2901 0.7371 0.1773
5 Ge 0.7099 0.2629 0.8227
6 Ge 0.7099 0.7371 0.3227
7 Ge 0.7901 0.2371 0.1773
8 Ge 0.7901 0.7629 0.6773
9 S 0.0000 0.0280 0.7500
10 S 0.0000 0.9720 0.2500
11 S 0.5000 0.4720 0.2500
12 S 0.5000 0.5280 0.7500


Computed PXRD pattern
Compound: Dy4Co2Pt
Radiation: copper Kα
Structure: a cell relaxed with GGA-PBE
Neutral-atom scattering factors, no anomalous dispersion.

Largest 6 diffraction maxima, low angle first, 10 to 80 degrees two-theta:
2θ/deg, intensity
29.86, 25
33.16, 100
33.77, 58
39.48, 39
39.67, 43
54.76, 20

Cell and atoms:
a = 7.3564 Å, b = 7.3564 Å, c = 7.3564 Å
α = 110.61°, β = 108.92°, γ = 108.90°
Fractional coordinates of all 14 atoms:
1 Dy 0.0054 0.8853 0.5113
2 Dy 0.1267 0.1205 0.1154
3 Dy 0.3733 0.4887 0.9938
4 Dy 0.4946 0.0059 0.8799
5 Dy 0.5052 0.0113 0.3846
6 Dy 0.6260 0.6147 0.6201
7 Dy 0.8740 0.4941 0.9887
8 Dy 0.9948 0.3795 0.5062
9 Co 0.1234 0.7500 0.8734
10 Co 0.3766 0.2500 0.6266
11 Co 0.6219 0.3719 0.2500
12 Co 0.8781 0.1281 0.7500
13 Pt 0.2500 0.6248 0.3748
14 Pt 0.7500 0.8752 0.1252


Computed PXRD pattern
Compound: Sr3Ti2AlO9
Radiation: copper Kα
Structure: a cell relaxed with GGA-PBE
Neutral-atom scattering factors, no anomalous dispersion.

Largest 6 diffraction maxima, low angle first, 10 to 80 degrees two-theta:
2θ/deg, intensity
32.40, 100
39.96, 28
46.47, 43
57.79, 38
67.83, 25
77.19, 17

Cell and atoms:
a = 5.5258 Å, b = 5.5258 Å, c = 6.7707 Å
α = 90.00°, β = 90.00°, γ = 120.00°
Fractional coordinates of all 15 atoms:
1 Sr 0.0000 0.0000 0.0000
2 Sr 0.3333 0.6667 0.6683
3 Sr 0.6667 0.3333 0.3317
4 Ti 0.3333 0.6667 0.1771
5 Ti 0.6667 0.3333 0.8229
6 Al 0.0000 0.0000 0.5000
7 O 0.0000 0.5000 0.0000
8 O 0.1643 0.3287 0.3365
9 O 0.1643 0.8357 0.3365
10 O 0.3287 0.1643 0.6635
11 O 0.5000 0.0000 0.0000
12 O 0.5000 0.5000 0.0000
13 O 0.6713 0.8357 0.3365
14 O 0.8357 0.1643 0.6635
15 O 0.8357 0.6713 0.6635